Theoretical powder XRD pattern
Compound: PrMgBi2O6
Radiation: λ = 1.5418 Å (Cu Kα)
Structure: a cell relaxed with GGA-PBE

Atomic structure:
```
20
Lattice="8.5502 0.0000 0.0000 0.0000 6.0830 0.0000 0.0000 0.0000 5.8290" Properties=species:S:1:pos:R:3 pbc="T T T"
Pr 0.0000 1.1259 0.0000
Pr 4.2751 4.9571 2.9145
Mg 0.0000 4.5524 2.9047
Mg 4.2751 1.5306 5.8192
Bi 2.1327 1.6025 2.8702
Bi 2.1425 4.4805 5.7848
Bi 6.4078 4.4805 5.7848
Bi 6.4176 1.6025 2.8702
O 0.0000 2.1581 3.6494
O 0.0000 5.0122 4.8540
O 1.4435 5.6301 1.8467
O 1.5752 2.5614 0.9053
O 2.6999 3.5216 3.8198
O 2.8316 0.4529 4.7612
O 4.2751 1.0708 1.9394
O 4.2751 3.9249 0.7349
O 5.7186 0.4529 4.7612
O 5.8503 3.5216 3.8198
O 6.9750 2.5614 0.9053
O 7.1067 5.6301 1.8467
```

Main lines, most intense first (15 to 90 degrees two-theta):
hkl	Position (°2θ)	I/Imax
2 1 1	29.8	100
4 2 0	52.3	29
0 1 1	21.1	25
2 1 3	54.0	24
0 0 2	30.7	23
0 2 0	29.4	23
0 2 2	43.0	19
6 1 1	69.7	13
2 0 0	20.8	13
4 2 2	61.9	12